This entry pairs a crystal structure of FeTcMo with its computed powder XRD pattern. Radiation: Cu Ka. Structure: DFT lattice parameters and positions (GGA-PBE).

Main lines, in order of falling intensity (10 to 80 degrees two-theta):
2θ/deg, I/Imax, h k l
43.5, 100, 1 1 7
38.8, 99, 0 2 6
39.5, 99, 2 0 2
38.1, 93, 1 3 1
49.3, 93, 2 2 4
41.1, 82, 1 3 3
49.1, 39, 0 4 4
34.4, 38, 1 1 5

```
data_FeTcMo
_symmetry_space_group_name_H-M 'F d d d'
_symmetry_Int_Tables_number 70
_cell_length_a 4.744
_cell_length_b 8.269
_cell_length_c 16.855
_cell_angle_alpha 90.00
_cell_angle_beta 90.00
_cell_angle_gamma 90.00
loop_
_symmetry_equiv_pos_as_xyz
'x,y,z'
'-x,-y,-z'
'-x+1/4,-y+1/4,z'
'x+1/4,y+1/4,-z'
'x,-y+1/4,-z+1/4'
'-x,y+1/4,z+1/4'
'-x+1/4,y,-z+1/4'
'x+1/4,-y,z+1/4'
'x,y+1/2,z+1/2'
'-x,-y+1/2,-z+1/2'
'-x+1/4,-y+3/4,z+1/2'
'x+1/4,y+3/4,-z+1/2'
'x,-y+3/4,-z+3/4'
'-x,y+3/4,z+3/4'
'-x+1/4,y+1/2,-z+3/4'
'x+1/4,-y+1/2,z+3/4'
'x+1/2,y,z+1/2'
'-x+1/2,-y,-z+1/2'
'-x+3/4,-y+1/4,z+1/2'
'x+3/4,y+1/4,-z+1/2'
'x+1/2,-y+1/4,-z+3/4'
'-x+1/2,y+1/4,z+3/4'
'-x+3/4,y,-z+3/4'
'x+3/4,-y,z+3/4'
'x+1/2,y+1/2,z'
'-x+1/2,-y+1/2,-z'
'-x+3/4,-y+3/4,z'
'x+3/4,y+3/4,-z'
'x+1/2,-y+3/4,-z+1/4'
'-x+1/2,y+3/4,z+1/4'
'-x+3/4,y+1/2,-z+1/4'
'x+3/4,-y+1/2,z+1/4'
loop_
_atom_site_label
_atom_site_type_symbol
_atom_site_fract_x
_atom_site_fract_y
_atom_site_fract_z
Fe1 Fe 0.125 0.125 0.001
Tc1 Tc 0.125 0.296 0.125
Mo1 Mo 0.125 0.125 0.547
```

---

This entry pairs a crystal structure of CuAgBr6 with its computed powder XRD pattern. Radiation: Cu Ka. Structure: DFT lattice parameters and positions (GGA-PBE).

Main lines, in order of falling intensity (10 to 80 degrees two-theta):
2θ/deg, I/Imax, h k l
12.0, 100, 0 0 1
14.1, 58, 1 0 0
24.0, 32, 0 0 2
19.1, 28, -1 1 1
34.7, 27, 1 2 -1
25.2, 24, 1 0 -2
29.8, 19, 2 -2 0
16.4, 19, 1 0 -1

```
data_CuAgBr6
_symmetry_space_group_name_H-M 'P -1'
_symmetry_Int_Tables_number 2
_cell_length_a 7.017
_cell_length_b 7.333
_cell_length_c 7.661
_cell_angle_alpha 98.48
_cell_angle_beta 97.70
_cell_angle_gamma 113.31
loop_
_symmetry_equiv_pos_as_xyz
'x,y,z'
'-x,-y,-z'
loop_
_atom_site_label
_atom_site_type_symbol
_atom_site_fract_x
_atom_site_fract_y
_atom_site_fract_z
Cu1 Cu 0.000 0.000 0.000
Ag1 Ag 0.000 0.500 0.000
Br1 Br 0.067 0.619 0.409
Br2 Br 0.259 0.898 0.126
Br3 Br 0.280 0.331 0.028
```

---

This entry pairs a crystal structure of Zr3Mo2 with its computed powder XRD pattern. Radiation: Cu Ka. Structure: DFT lattice parameters and positions (GGA-PBE).

Main lines, in order of falling intensity (10 to 80 degrees two-theta):
2θ/deg, I/Imax, h k l
36.7, 100, 2 2 0
37.0, 96, 1 1 5
35.5, 55, 0 4 0
45.1, 54, 1 3 5
58.7, 24, 1 5 5
60.4, 22, 3 1 5
76.1, 21, 2 0 10
64.6, 18, 2 6 0

```
data_Zr3Mo2
_symmetry_space_group_name_H-M 'F d d d'
_symmetry_Int_Tables_number 70
_cell_length_a 5.593
_cell_length_b 10.109
_cell_length_c 13.985
_cell_angle_alpha 90.00
_cell_angle_beta 90.00
_cell_angle_gamma 90.00
loop_
_symmetry_equiv_pos_as_xyz
'x,y,z'
'-x,-y,-z'
'-x+1/4,-y+1/4,z'
'x+1/4,y+1/4,-z'
'x,-y+1/4,-z+1/4'
'-x,y+1/4,z+1/4'
'-x+1/4,y,-z+1/4'
'x+1/4,-y,z+1/4'
'x,y+1/2,z+1/2'
'-x,-y+1/2,-z+1/2'
'-x+1/4,-y+3/4,z+1/2'
'x+1/4,y+3/4,-z+1/2'
'x,-y+3/4,-z+3/4'
'-x,y+3/4,z+3/4'
'-x+1/4,y+1/2,-z+3/4'
'x+1/4,-y+1/2,z+3/4'
'x+1/2,y,z+1/2'
'-x+1/2,-y,-z+1/2'
'-x+3/4,-y+1/4,z+1/2'
'x+3/4,y+1/4,-z+1/2'
'x+1/2,-y+1/4,-z+3/4'
'-x+1/2,y+1/4,z+3/4'
'-x+3/4,y,-z+3/4'
'x+3/4,-y,z+3/4'
'x+1/2,y+1/2,z'
'-x+1/2,-y+1/2,-z'
'-x+3/4,-y+3/4,z'
'x+3/4,y+3/4,-z'
'x+1/2,-y+3/4,-z+1/4'
'-x+1/2,y+3/4,z+1/4'
'-x+3/4,y+1/2,-z+1/4'
'x+3/4,-y+1/2,z+1/4'
loop_
_atom_site_label
_atom_site_type_symbol
_atom_site_fract_x
_atom_site_fract_y
_atom_site_fract_z
Zr1 Zr 0.125 0.125 0.019
Zr2 Zr 0.125 0.125 0.625
Mo1 Mo 0.125 0.125 0.422
```

---

This entry pairs a crystal structure of RbZr2Bi2O7 with its computed powder XRD pattern. Radiation: Cu Ka. Structure: DFT lattice parameters and positions (GGA-PBE).

Main lines, in order of falling intensity (10 to 80 degrees two-theta):
2θ/deg, I/Imax, h k l
27.7, 100, 1 1 1
28.0, 87, 3 1 -1
28.2, 71, 2 0 -2
29.1, 34, 6 0 -1
44.2, 33, 0 2 0
32.7, 33, 3 1 1
40.5, 32, 8 0 0
26.4, 32, 3 1 0

```
data_RbZr2Bi2O7
_symmetry_space_group_name_H-M 'C 1 m 1'
_symmetry_Int_Tables_number 8
_cell_length_a 18.717
_cell_length_b 4.096
_cell_length_c 6.330
_cell_angle_alpha 90.00
_cell_angle_beta 108.13
_cell_angle_gamma 90.00
loop_
_symmetry_equiv_pos_as_xyz
'x,y,z'
'x,-y,z'
'x+1/2,y+1/2,z'
'x+1/2,-y+1/2,z'
loop_
_atom_site_label
_atom_site_type_symbol
_atom_site_fract_x
_atom_site_fract_y
_atom_site_fract_z
Rb1 Rb 0.000 0.000 0.000
Zr1 Zr 0.105 0.500 0.614
Zr2 Zr 0.393 0.000 0.411
Bi1 Bi 0.235 0.500 0.338
Bi2 Bi 0.268 0.000 0.862
O1 O 0.101 0.500 0.306
O2 O 0.127 0.000 0.717
O3 O 0.230 0.500 0.706
O4 O 0.282 0.000 0.471
O5 O 0.368 0.500 0.434
O6 O 0.393 0.000 0.101
O7 O 0.497 0.000 0.628
```

---

This entry pairs a crystal structure of Ba2PuSe2O2 with its computed powder XRD pattern. Radiation: Cu Ka. Structure: DFT lattice parameters and positions (GGA-PBE).

Main lines, in order of falling intensity (10 to 80 degrees two-theta):
2θ/deg, I/Imax, h k l
28.0, 100, 1 1 0
33.0, 72, 1 0 5
25.2, 53, 1 0 3
40.0, 47, 2 0 0
52.8, 38, 2 1 5
42.7, 31, 1 1 6
10.4, 30, 0 0 2
31.6, 24, 0 0 6

```
data_Ba2PuSe2O2
_symmetry_space_group_name_H-M 'I 4/m m m'
_symmetry_Int_Tables_number 139
_symmetry_space_group_name_Hall '-I 4 2'
_cell_length_a 4.512
_cell_length_b 4.512
_cell_length_c 16.997
_cell_angle_alpha 90.00
_cell_angle_beta 90.00
_cell_angle_gamma 90.00
loop_
_atom_site_label
_atom_site_type_symbol
_atom_site_fract_x
_atom_site_fract_y
_atom_site_fract_z
Ba1 Ba 0.000 0.000 0.132
Pu1 Pu 0.000 0.000 0.500
Se1 Se 0.000 0.000 0.331
O1 O 0.000 0.500 0.000
```

---

This entry pairs a crystal structure of Ga2Fe2Co15 with its computed powder XRD pattern. Radiation: Cu Ka. Structure: DFT lattice parameters and positions (GGA-PBE).

Main lines, in order of falling intensity (10 to 80 degrees two-theta):
2θ/deg, I/Imax, h k l
44.9, 100, 0 3 3
45.2, 70, 2 2 0
50.7, 64, 2 2 3
44.2, 35, 0 0 6
38.9, 34, 3 0 0
39.1, 31, 0 2 4
50.0, 21, 1 1 6
74.7, 15, 3 3 3

```
data_Ga2Fe2Co15
_symmetry_space_group_name_H-M 'R -3 m'
_symmetry_Int_Tables_number 166
_symmetry_space_group_name_Hall '-R 3 2"'
_cell_length_a 8.0239
_cell_length_b 8.0239
_cell_length_c 12.3023
_cell_angle_alpha 90.00
_cell_angle_beta 90.00
_cell_angle_gamma 120.00
loop_
_atom_site_label
_atom_site_type_symbol
_atom_site_fract_x
_atom_site_fract_y
_atom_site_fract_z
Ga1 Ga 0.0000 0.0000 0.1464
Fe1 Fe 0.0000 0.0000 0.4026
Co1 Co 0.0000 0.3031 0.5000
Co2 Co 0.0000 0.5000 0.0000
Co3 Co 0.0062 0.5031 0.6508
```

---

This entry pairs a crystal structure of BiP3Pb3O12 with its computed powder XRD pattern. Radiation: Cu Ka. Structure: DFT lattice parameters and positions (GGA-PBE).

Main lines, in order of falling intensity (10 to 80 degrees two-theta):
2θ/deg, I/Imax, h k l
26.7, 100, 3 1 -1
31.7, 74, 1 5 -1
20.6, 61, 2 2 -1
43.7, 53, 5 1 -2
41.9, 42, 4 4 -2
53.4, 16, 5 5 -3
56.4, 16, 5 3 -5
53.5, 15, 2 8 -2

```
data_BiP3Pb3O12
_symmetry_space_group_name_H-M 'C 1 c 1'
_symmetry_Int_Tables_number 9
_cell_length_a 10.577
_cell_length_b 14.933
_cell_length_c 9.141
_cell_angle_alpha 90.00
_cell_angle_beta 125.28
_cell_angle_gamma 90.00
loop_
_symmetry_equiv_pos_as_xyz
'x,y,z'
'x,-y,z+1/2'
'x+1/2,y+1/2,z'
'x+1/2,-y+1/2,z+1/2'
loop_
_atom_site_label
_atom_site_type_symbol
_atom_site_fract_x
_atom_site_fract_y
_atom_site_fract_z
Bi1 Bi 0.000 0.167 0.000
P1 P 0.114 0.310 0.371
P2 P 0.417 0.130 0.253
P3 P 0.481 0.438 0.128
Pb1 Pb 0.168 0.495 0.650
Pb2 Pb 0.249 0.072 0.505
Pb3 Pb 0.272 0.247 0.848
O1 O 0.020 0.284 0.812
O2 O 0.042 0.037 0.147
O3 O 0.106 0.127 0.654
O4 O 0.128 0.211 0.325
O5 O 0.176 0.320 0.571
O6 O 0.214 0.371 0.336
O7 O 0.248 0.158 0.094
O8 O 0.325 0.423 0.946
O9 O 0.420 0.093 0.413
O10 O 0.441 0.162 0.752
O11 O 0.457 0.428 0.282
O12 O 0.469 0.057 0.178
```

---

This entry pairs a crystal structure of TiZnCdAg with its computed powder XRD pattern. Radiation: Cu Ka. Structure: DFT lattice parameters and positions (GGA-PBE).

Main lines, in order of falling intensity (10 to 80 degrees two-theta):
2θ/deg, I/Imax, h k l
37.8, 100, 1 0 2
43.3, 35, 1 1 0
75.8, 23, 2 1 2
64.4, 17, 1 1 4
11.0, 17, 0 0 1
45.2, 13, 0 0 4
32.3, 12, 1 0 1
62.9, 11, 2 0 0

```
data_TiZnCdAg
_symmetry_space_group_name_H-M 'P 4 m m'
_symmetry_Int_Tables_number 99
_cell_length_a 2.953
_cell_length_b 2.953
_cell_length_c 8.022
_cell_angle_alpha 90.00
_cell_angle_beta 90.00
_cell_angle_gamma 90.00
loop_
_symmetry_equiv_pos_as_xyz
'x,y,z'
'-y,x,z'
'-x,-y,z'
'y,-x,z'
'-x,y,z'
'y,x,z'
'x,-y,z'
'-y,-x,z'
loop_
_atom_site_label
_atom_site_type_symbol
_atom_site_fract_x
_atom_site_fract_y
_atom_site_fract_z
Ti1 Ti 0.000 0.000 0.000
Zn1 Zn 0.500 0.500 0.224
Cd1 Cd 0.500 0.500 0.725
Ag1 Ag 0.000 0.000 0.452
```

---

This entry pairs a crystal structure of Mn with its computed powder XRD pattern. Radiation: Cu Ka. Structure: DFT lattice parameters and positions (GGA-PBE).

Main lines, in order of falling intensity (10 to 80 degrees two-theta):
2θ/deg, I/Imax, h k l
45.9, 100, 0 2 2
44.7, 83, 1 2 -1
47.6, 44, 0 4 0
47.0, 18, 1 0 1
69.2, 17, 1 4 1
47.1, 16, 1 0 -2
52.5, 15, 1 3 0
48.6, 12, 1 1 1

```
data_Mn
_symmetry_space_group_name_H-M 'P 1 21/m 1'
_symmetry_Int_Tables_number 11
_cell_length_a 2.475
_cell_length_b 7.646
_cell_length_c 4.782
_cell_angle_alpha 90.00
_cell_angle_beta 104.87
_cell_angle_gamma 90.00
loop_
_symmetry_equiv_pos_as_xyz
'x,y,z'
'-x,-y,-z'
'-x,y+1/2,-z'
'x,-y+1/2,z'
loop_
_atom_site_label
_atom_site_type_symbol
_atom_site_fract_x
_atom_site_fract_y
_atom_site_fract_z
Mn1 Mn 0.018 0.250 0.037
Mn2 Mn 0.252 0.750 0.496
Mn3 Mn 0.371 0.016 0.747
```

---

This entry pairs a crystal structure of TbDyNiOs with its computed powder XRD pattern. Radiation: Cu Ka. Structure: DFT lattice parameters and positions (GGA-PBE).

Main lines, in order of falling intensity (10 to 80 degrees two-theta):
2θ/deg, I/Imax, h k l
37.4, 100, 2 2 0
67.4, 35, 4 2 2
53.9, 17, 4 0 0
79.7, 11, 4 4 0
22.6, 11, 1 1 1
44.1, 6, 3 1 1
59.2, 3, 3 3 1
72.1, 2, 5 1 1

```
data_TbDyNiOs
_symmetry_space_group_name_H-M 'F -4 3 m'
_symmetry_Int_Tables_number 216
_symmetry_space_group_name_Hall 'F -4 2 3'
_cell_length_a 6.805
_cell_length_b 6.805
_cell_length_c 6.805
_cell_angle_alpha 90.00
_cell_angle_beta 90.00
_cell_angle_gamma 90.00
loop_
_atom_site_label
_atom_site_type_symbol
_atom_site_fract_x
_atom_site_fract_y
_atom_site_fract_z
Tb1 Tb 0.000 0.000 0.000
Dy1 Dy 0.000 0.000 0.500
Ni1 Ni 0.250 0.250 0.750
Os1 Os 0.250 0.250 0.250
```

---

This entry pairs a crystal structure of La3Tb6Pm2Dy with its computed powder XRD pattern. Radiation: Cu Ka. Structure: DFT lattice parameters and positions (GGA-PBE).

Main lines, in order of falling intensity (10 to 80 degrees two-theta):
2θ/deg, I/Imax, h k l
30.2, 100, 1 3 1
35.1, 67, 2 0 2
30.4, 33, 0 0 4
59.9, 29, 3 3 3
50.3, 24, 0 6 0
50.6, 24, 1 3 5
59.8, 14, 4 0 0
60.2, 14, 2 0 6

```
data_La3Tb6Pm2Dy
_symmetry_space_group_name_H-M 'C 1 2/m 1'
_symmetry_Int_Tables_number 12
_cell_length_a 6.283
_cell_length_b 10.887
_cell_length_c 11.939
_cell_angle_alpha 90.00
_cell_angle_beta 100.10
_cell_angle_gamma 90.00
loop_
_symmetry_equiv_pos_as_xyz
'x,y,z'
'-x,-y,-z'
'-x,y,-z'
'x,-y,z'
'x+1/2,y+1/2,z'
'-x+1/2,-y+1/2,-z'
'-x+1/2,y+1/2,-z'
'x+1/2,-y+1/2,z'
loop_
_atom_site_label
_atom_site_type_symbol
_atom_site_fract_x
_atom_site_fract_y
_atom_site_fract_z
La1 La 0.000 0.000 0.000
La2 La 0.000 0.333 0.000
Tb1 Tb 0.248 0.334 0.746
Tb2 Tb 0.249 0.000 0.746
Pm1 Pm 0.000 0.166 0.500
Dy1 Dy 0.000 0.500 0.500
```

---

This entry pairs a crystal structure of LiYLuRh with its computed powder XRD pattern. Radiation: Cu Ka. Structure: DFT lattice parameters and positions (GGA-PBE).

Main lines, in order of falling intensity (10 to 80 degrees two-theta):
2θ/deg, I/Imax, h k l
36.8, 100, 2 2 0
66.2, 35, 4 2 2
22.3, 29, 1 1 1
25.8, 21, 2 0 0
53.0, 17, 4 0 0
43.4, 15, 3 1 1
78.2, 11, 4 4 0
59.8, 8, 4 2 0

```
data_LiYLuRh
_symmetry_space_group_name_H-M 'F -4 3 m'
_symmetry_Int_Tables_number 216
_symmetry_space_group_name_Hall 'F -4 2 3'
_cell_length_a 6.912
_cell_length_b 6.912
_cell_length_c 6.912
_cell_angle_alpha 90.00
_cell_angle_beta 90.00
_cell_angle_gamma 90.00
loop_
_atom_site_label
_atom_site_type_symbol
_atom_site_fract_x
_atom_site_fract_y
_atom_site_fract_z
Li1 Li 0.000 0.000 0.000
Y1 Y 0.250 0.250 0.250
Lu1 Lu 0.250 0.250 0.750
Rh1 Rh 0.000 0.000 0.500
```

---

This entry pairs a crystal structure of As2Pd7PtPb2 with its computed powder XRD pattern. Radiation: Cu Ka. Structure: DFT lattice parameters and positions (GGA-PBE).

Main lines, in order of falling intensity (10 to 80 degrees two-theta):
2θ/deg, I/Imax, h k l
31.5, 100, 0 0 5
36.9, 89, 0 2 3
45.2, 88, 2 2 -1
35.6, 83, 2 0 2
45.1, 78, 0 2 5
35.0, 72, 2 0 -3
12.4, 55, 0 0 2
45.3, 53, 2 2 0

```
data_As2Pd7PtPb2
_symmetry_space_group_name_H-M 'C 1 2/m 1'
_symmetry_Int_Tables_number 12
_cell_length_a 5.682
_cell_length_b 5.677
_cell_length_c 14.337
_cell_angle_alpha 90.00
_cell_angle_beta 96.99
_cell_angle_gamma 90.00
loop_
_symmetry_equiv_pos_as_xyz
'x,y,z'
'-x,-y,-z'
'-x,y,-z'
'x,-y,z'
'x+1/2,y+1/2,z'
'-x+1/2,-y+1/2,-z'
'-x+1/2,y+1/2,-z'
'x+1/2,-y+1/2,z'
loop_
_atom_site_label
_atom_site_type_symbol
_atom_site_fract_x
_atom_site_fract_y
_atom_site_fract_z
As1 As 0.072 0.000 0.242
Pd1 Pd 0.000 0.000 0.000
Pd2 Pd 0.113 0.000 0.418
Pd3 Pd 0.207 0.250 0.860
Pt1 Pt 0.000 0.500 0.000
Pb1 Pb 0.111 0.500 0.391
```